The following is a theoretical powder diffractogram of YHo2Tl2. It was derived from a DFT-relaxed cell (GGA-PBE, Alexandria), using copper Kα.

Cell and atoms:
Lattice parameters (Å, degrees): 5.249 6.624 9.095 103.20 90.03 113.24
Space group P-1 (No. 2)
Inequivalent atoms, fractional coordinates:
Y1 0.066 0.133 0.354
Ho1 0.250 0.501 0.751
Ho2 0.431 0.865 0.143
Tl1 0.138 0.271 0.043
Tl2 0.364 0.729 0.454

Most intense lines, 2θ from 10° to 90°, sorted by position:
| index | two_theta | Rel. int. |
| --- | --- | --- |
| 0 2 -2 | 32.1 | 100 |
| 2 -1 0 | 34.2 | 92 |
| 2 1 -2 | 47.5 | 34 |
| 1 3 -1 | 55.8 | 16 |
| 1 2 -5 | 59.8 | 34 |
| 3 -2 3 | 61.1 | 21 |

The following is a theoretical powder diffractogram of Y7HoTl4. It was derived from a DFT-relaxed cell (GGA-PBE, Alexandria), using copper Kα.

Cell and atoms:
Lattice parameters (Å, degrees): 14.788 5.733 10.200 90.00 122.91 90.00
Space group C2/m (No. 12)
Inequivalent atoms, fractional coordinates:
Y1 0.000 0.000 0.000
Y2 0.064 0.500 0.399
Y3 0.208 0.500 0.880
Y4 0.232 0.000 0.675
Ho1 0.000 0.500 0.000
Tl1 0.057 0.000 0.740
Tl2 0.185 0.000 0.335

Most intense lines, 2θ from 10° to 90°, sorted by position:
| index | two_theta | Rel. int. |
| --- | --- | --- |
| 4 0 -3 | 28.8 | 53 |
| 1 1 2 | 29.9 | 34 |
| 0 2 0 | 31.2 | 100 |
| 3 1 1 | 32.7 | 37 |
| 5 1 -1 | 35.4 | 73 |
| 4 2 -3 | 43.0 | 36 |

The following is a theoretical powder diffractogram of Ho2TlZn2. It was derived from a DFT-relaxed cell (GGA-PBE, Alexandria), using copper Kα.

Cell and atoms:
Lattice parameters (Å, degrees): 4.270 5.971 9.039 90.00 90.00 90.00
Space group Immm (No. 71)
Inequivalent atoms, fractional coordinates:
Ho1 0.000 0.000 0.212
Tl1 0.000 0.500 0.000
Zn1 0.000 0.295 0.500

Most intense lines, 2θ from 10° to 90°, sorted by position:
| index | two_theta | Rel. int. |
| --- | --- | --- |
| 0 2 0 | 29.9 | 18 |
| 1 1 2 | 32.5 | 100 |
| 0 1 3 | 33.3 | 24 |
| 1 2 1 | 38.1 | 37 |
| 2 0 0 | 42.3 | 19 |
| 1 2 5 | 64.0 | 20 |

The following is a theoretical powder diffractogram of Ho6Tl5Zn. It was derived from a DFT-relaxed cell (GGA-PBE, Alexandria), using copper Kα.

Cell and atoms:
Lattice parameters (Å, degrees): 5.318 15.950 7.428 90.00 90.00 90.00
Space group Cmmm (No. 65)
Inequivalent atoms, fractional coordinates:
Ho1 0.000 0.000 0.243
Ho2 0.000 0.337 0.245
Tl1 0.000 0.165 0.000
Tl2 0.000 0.169 0.500
Tl3 0.000 0.500 0.500
Zn1 0.000 0.500 0.000

Most intense lines, 2θ from 10° to 90°, sorted by position:
| index | two_theta | Rel. int. |
| --- | --- | --- |
| 2 0 0 | 33.7 | 51 |
| 1 3 2 | 33.9 | 100 |
| 2 6 0 | 48.4 | 19 |
| 3 3 2 | 60.4 | 38 |
| 2 0 4 | 60.8 | 19 |
| 2 6 4 | 71.4 | 12 |

The following is a theoretical powder diffractogram of Ho3TlZn2. It was derived from a DFT-relaxed cell (GGA-PBE, Alexandria), using copper Kα.

Cell and atoms:
Lattice parameters (Å, degrees): 3.577 3.577 11.217 90.00 90.00 90.00
Space group P4/mmm (No. 123)
Inequivalent atoms, fractional coordinates:
Ho1 0.000 0.000 0.000
Ho2 0.000 0.000 0.312
Tl1 0.500 0.500 0.500
Zn1 0.500 0.500 0.153

Most intense lines, 2θ from 10° to 90°, sorted by position:
| index | two_theta | Rel. int. |
| --- | --- | --- |
| 1 0 3 | 34.7 | 100 |
| 1 1 0 | 35.5 | 51 |
| 2 0 0 | 51.1 | 18 |
| 1 1 6 | 61.7 | 15 |
| 2 1 3 | 63.2 | 35 |
| 3 1 0 | 85.9 | 12 |

The following is a theoretical powder diffractogram of Ho12Tl6Zn. It was derived from a DFT-relaxed cell (GGA-PBE, Alexandria), using copper Kα.

Cell and atoms:
Lattice parameters (Å, degrees): 13.3741 13.3741 12.2819 90.00 90.00 120.00
Space group R-3 (No. 148, hexagonal axes)
Inequivalent atoms, fractional coordinates:
Ho1 0.0363 0.8242 0.3938
Ho2 0.0472 0.8423 0.8895
Tl1 0.0485 0.7822 0.6484
Zn1 0.0000 0.0000 0.0000

Most intense lines, 2θ from 10° to 90°, sorted by position:
| index | two_theta | Rel. int. |
| --- | --- | --- |
| 3 -1 1 | 21.6 | 74 |
| 1 0 4 | 30.1 | 32 |
| 4 -1 2 | 31.4 | 41 |
| 4 1 0 | 35.5 | 100 |
| 3 -1 4 | 35.7 | 94 |
| 4 1 3 | 42.0 | 30 |

The following is a theoretical powder diffractogram of Ho4TlZn2. It was derived from a DFT-relaxed cell (GGA-PBE, Alexandria), using copper Kα.

Cell and atoms:
Lattice parameters (Å, degrees): 5.0633 5.0633 24.4892 90.00 90.00 120.00
Space group R-3m (No. 166, hexagonal axes)
Inequivalent atoms, fractional coordinates:
Ho1 0.0000 0.0000 0.1137
Ho2 0.0000 0.0000 0.3677
Tl1 0.0000 0.0000 0.5000
Zn1 0.0000 0.0000 0.2478

Most intense lines, 2θ from 10° to 90°, sorted by position:
| index | two_theta | Rel. int. |
| --- | --- | --- |
| 1 0 4 | 25.0 | 21 |
| 1 0 7 | 32.7 | 21 |
| 1 1 0 | 35.5 | 100 |
| 0 1 8 | 35.8 | 84 |
| 2 0 8 | 51.3 | 30 |
| 1 2 8 | 63.9 | 31 |

The following is a theoretical powder diffractogram of HoTm6. It was derived from a DFT-relaxed cell (GGA-PBE, Alexandria), using copper Kα.

Cell and atoms:
Lattice parameters (Å, degrees): 6.402 6.402 10.795 90.00 90.00 90.00
Space group P4/nbm (No. 125, origin choice 2)
Inequivalent atoms, fractional coordinates:
Ho1 0.250 0.750 0.000
Tm1 0.081 0.581 0.363
Tm2 0.250 0.250 0.141

Most intense lines, 2θ from 10° to 90°, sorted by position:
| index | two_theta | Rel. int. |
| --- | --- | --- |
| 2 0 1 | 29.1 | 100 |
| 1 1 3 | 31.8 | 79 |
| 2 1 1 | 32.4 | 60 |
| 0 0 4 | 33.2 | 30 |
| 2 1 2 | 35.5 | 80 |
| 3 1 4 | 56.9 | 52 |